Entry 1:
Starting from a structure optimized by DFT (PBE), the X-ray diffraction stick pattern of NdZn5Ga2 was computed for Cu Kα (weighted mean of Kα1 and Kα2).
Lines closer than 0.1° are merged.

Structural model:
```
NdZn5Ga2
1.0
4.055 0.000 0.000
0.000 7.214 0.000
0.000 0.000 9.829
Nd Zn Ga
2 10 4
direct
0.000 0.000 0.000 Nd
0.500 0.500 0.500 Nd
0.000 0.183 0.363 Zn
0.000 0.183 0.637 Zn
0.000 0.500 0.000 Zn
0.000 0.817 0.363 Zn
0.000 0.817 0.637 Zn
0.500 0.000 0.500 Zn
0.500 0.317 0.137 Zn
0.500 0.317 0.863 Zn
0.500 0.683 0.137 Zn
0.500 0.683 0.863 Zn
0.000 0.500 0.256 Ga
0.000 0.500 0.744 Ga
0.500 0.000 0.244 Ga
0.500 0.000 0.756 Ga
```

Peak list (8 most intense, 10° ≤ 2θ ≤ 90°, most intense first)
44.7°, d 2.029, I 100.0, (2 0 0); 34.5°, d 2.599, I 92.3, (1 2 1); 35.2°, d 2.548, I 87.1, (1 0 3); 31.2°, d 2.870, I 43.9, (1 1 2); 65.0°, d 1.435, I 36.6, (2 2 4); 43.8°, d 2.068, I 24.9, (1 3 0); 47.7°, d 1.906, I 21.9, (1 3 2); 38.5°, d 2.336, I 19.8, (0 3 1)

---

Entry 2:
Starting from a structure optimized by DFT (PBE), the X-ray diffraction stick pattern of Nd2Zn3Ga was computed for Cu Kα (weighted mean of Kα1 and Kα2).
Lines closer than 0.1° are merged.

Structural model:
```
Nd2Zn3Ga
1.0
3.725 0.000 0.000
0.000 4.535 0.000
0.000 0.000 7.858
Nd Zn Ga
2 3 1
direct
0.000 0.000 0.000 Nd
0.000 0.500 0.496 Nd
0.500 0.000 0.668 Zn
0.500 0.500 0.163 Zn
0.500 0.500 0.830 Zn
0.500 0.000 0.333 Ga
```

Peak list (8 most intense, 10° ≤ 2θ ≤ 90°, most intense first)
33.1°, d 2.703, I 100.0, (1 0 2); 39.7°, d 2.268, I 53.9, (0 2 0); 52.7°, d 1.737, I 26.5, (1 2 2); 64.8°, d 1.439, I 24.6, (2 2 0); 68.0°, d 1.379, I 24.2, (1 1 5); 22.6°, d 3.928, I 14.6, (0 1 1); 48.9°, d 1.862, I 9.8, (2 0 0); 72.1°, d 1.309, I 8.9, (0 3 3)

---

Which formula does entry 1 have? NdZn5Ga2